The following is a calculated X-ray diffraction stick pattern of NaGa2I3. It was derived from a crystal structure in Alexandria, relaxed with PBE, using CuKα.
Neutral-atom scattering factors, no anomalous dispersion.

Top 10 peaks for 15° ≤ 2θ ≤ 90°, sorted by position:
| Position (°2θ) | I_rel | hkl |
| --- | --- | --- |
| 23.1 | 390 | 1 3 0 |
| 26.5 | 1000 | 1 0 1 |
| 27.3 | 457 | 0 6 0 |
| 37.8 | 386 | 2 0 0 |
| 38.4 | 730 | 1 6 1 |
| 47.3 | 399 | 2 6 0 |
| 61.6 | 179 | 3 0 1 |
| 62.1 | 174 | 2 6 2 |
| 63.4 | 159 | 1 12 1 |
| 68.7 | 263 | 3 6 1 |

Structural model:
Unit cell a=4.761 b=19.570 c=4.760 alpha=90.00 beta=90.00 gamma=90.00
Element x y z (fractional)
Na 0.000 0.000 0.000
Na 0.500 0.500 0.500
Ga 0.000 0.334 0.001
Ga 0.000 0.666 0.001
Ga 0.500 0.166 0.501
Ga 0.500 0.834 0.501
I 0.000 0.163 0.001
I 0.000 0.500 0.000
I 0.000 0.837 0.001
I 0.500 0.000 0.500
I 0.500 0.337 0.501
I 0.500 0.663 0.501